# Nd4Y6Th
Computed X-ray powder pattern, Cu Kα (λ = 1.5418 Å). Input: a cell relaxed with GGA-PBE.
Neutral-atom scattering factors, no anomalous dispersion.

Structural model:
```
22
Lattice="2.907 -4.877 0.000 2.907 4.877 0.000 0.000 0.000 26.090" Properties=species:S:1:pos:R:3 pbc="T T T"
Nd 2.907 4.580 16.255
Nd 2.907 4.580 22.881
Nd 2.907 1.532 14.183
Nd 2.907 1.532 24.952
Nd 2.907 -1.532 1.138
Nd 2.907 -1.532 11.907
Nd 2.907 -4.580 3.210
Nd 2.907 -4.580 9.836
Y 0.000 0.000 0.000
Y 0.000 0.000 13.045
Y 2.907 4.623 19.568
Y 2.907 1.839 2.680
Y 2.907 1.839 10.365
Y 2.907 1.368 17.841
Y 2.907 1.368 21.295
Y 2.907 -1.368 4.795
Y 2.907 -1.368 8.250
Y 2.907 -1.839 15.725
Y 2.907 -1.839 23.410
Y 2.907 -4.623 6.523
Th 2.907 1.858 6.523
Th 2.907 -1.858 19.568
```

Largest 12 diffraction maxima, by angle, 2θ = 10–80°:
2theta	d [Å]	I (rel.)
20.48	4.336	22.0
29.91	2.987	70.4
30.18	2.961	49.2
30.76	2.907	64.4
31.53	2.838	100.0
31.72	2.821	19.6
32.80	2.731	37.3
43.63	2.075	35.7
54.16	1.693	13.2
55.17	1.665	20.2
55.46	1.657	17.4
56.77	1.622	17.0

=====

# Cs4Rb2GaAs2
Computed X-ray powder pattern, Cu Kα (λ = 1.5418 Å). Input: a cell relaxed with GGA-PBE.
Neutral-atom scattering factors, no anomalous dispersion.

Structural model:
```
9
Lattice="8.707 -7.339 0.000 8.707 7.339 0.000 -0.731 0.000 5.437" Properties=species:S:1:pos:R:3 pbc="T T T"
Cs 6.063 4.937 2.902
Cs 10.619 4.937 2.535
Cs 6.063 -4.937 2.902
Cs 10.619 -4.937 2.535
Rb 5.857 0.000 0.352
Rb 10.825 0.000 5.086
Ga 0.000 0.000 0.000
As 1.555 0.000 5.248
As 15.127 0.000 0.189
```

Largest 12 diffraction maxima, by angle, 2θ = 10–80°:
2theta	d [Å]	I (rel.)
18.82	4.714	30.3
20.33	4.369	100.0
20.59	4.314	62.2
21.80	4.077	30.9
23.87	3.728	50.7
24.56	3.624	37.0
25.47	3.497	35.2
29.36	3.042	46.6
30.64	2.918	20.8
32.95	2.719	24.8
36.72	2.448	30.2
37.45	2.402	24.3

=====

# Tm3ScPb2S
Computed X-ray powder pattern, Cu Kα (λ = 1.5418 Å). Input: a cell relaxed with GGA-PBE.
Neutral-atom scattering factors, no anomalous dispersion.

Structural model:
```
7
Lattice="-2.393 2.483 7.962 2.393 -2.483 7.962 2.393 2.483 -7.962" Properties=species:S:1:pos:R:3 pbc="T T T"
Tm 0.000 0.000 0.000
Tm 2.393 0.000 5.313
Tm 0.000 2.483 2.649
Sc 0.000 0.000 7.962
Pb 2.393 0.000 2.209
Pb 0.000 2.483 5.753
S 0.000 2.483 0.000
```

Largest 12 diffraction maxima, by angle, 2θ = 10–80°:
2theta	d [Å]	I (rel.)
25.85	3.446	61.2
28.22	3.163	53.6
33.79	2.653	50.7
34.42	2.605	100.0
36.17	2.483	39.8
37.59	2.393	35.8
42.99	2.104	18.0
50.33	1.813	33.2
51.42	1.777	18.2
53.16	1.723	26.6
63.93	1.456	17.1
64.47	1.445	32.0

=====

# CsPaI6
Computed X-ray powder pattern, Cu Kα (λ = 1.5418 Å). Input: a cell relaxed with GGA-PBE.
Neutral-atom scattering factors, no anomalous dispersion.

Structural model:
```
8
Lattice="4.882 -6.046 0.000 4.882 6.046 0.000 -2.355 0.000 7.320" Properties=species:S:1:pos:R:3 pbc="T T T"
Cs 0.000 0.000 0.000
Pa 3.705 0.000 3.660
I 0.800 0.000 4.196
I 3.309 2.082 1.604
I 4.101 2.082 5.716
I 3.309 -2.082 1.604
I 4.101 -2.082 5.716
I 6.609 0.000 3.124
```

Largest 12 diffraction maxima, by angle, 2θ = 10–80°:
2theta	d [Å]	I (rel.)
12.03	7.354	46.6
14.65	6.046	20.7
14.84	5.968	37.3
19.05	4.659	48.5
25.66	3.472	23.6
28.33	3.150	54.2
28.56	3.126	100.0
36.58	2.456	19.6
41.52	2.175	17.8
41.68	2.167	37.9
45.60	1.989	26.6
46.94	1.936	19.7

=====

Copy entry 1 word for word.
# Nd4Y6Th
Computed X-ray powder pattern, Cu Kα (λ = 1.5418 Å). Input: a cell relaxed with GGA-PBE.
Neutral-atom scattering factors, no anomalous dispersion.

Structural model:
```
22
Lattice="2.907 -4.877 0.000 2.907 4.877 0.000 0.000 0.000 26.090" Properties=species:S:1:pos:R:3 pbc="T T T"
Nd 2.907 4.580 16.255
Nd 2.907 4.580 22.881
Nd 2.907 1.532 14.183
Nd 2.907 1.532 24.952
Nd 2.907 -1.532 1.138
Nd 2.907 -1.532 11.907
Nd 2.907 -4.580 3.210
Nd 2.907 -4.580 9.836
Y 0.000 0.000 0.000
Y 0.000 0.000 13.045
Y 2.907 4.623 19.568
Y 2.907 1.839 2.680
Y 2.907 1.839 10.365
Y 2.907 1.368 17.841
Y 2.907 1.368 21.295
Y 2.907 -1.368 4.795
Y 2.907 -1.368 8.250
Y 2.907 -1.839 15.725
Y 2.907 -1.839 23.410
Y 2.907 -4.623 6.523
Th 2.907 1.858 6.523
Th 2.907 -1.858 19.568
```

Largest 12 diffraction maxima, by angle, 2θ = 10–80°:
2theta	d [Å]	I (rel.)
20.48	4.336	22.0
29.91	2.987	70.4
30.18	2.961	49.2
30.76	2.907	64.4
31.53	2.838	100.0
31.72	2.821	19.6
32.80	2.731	37.3
43.63	2.075	35.7
54.16	1.693	13.2
55.17	1.665	20.2
55.46	1.657	17.4
56.77	1.622	17.0